# 1
Theoretical powder diffractogram
Compound: Ce6In2Ir
Radiation: Cu Kα X-rays
Structure: a structure optimized by DFT (PBE)
Peak positions follow from Bragg's law for the DFT cell and can differ from measured ones.

Peak list (10 most intense, 2θ = 10–80°, low angle first)
| d/Å | I (rel.) | hkl |
| --- | --- | --- |
| 2.972 | 22 | 1 3 0 |
| 2.651 | 100 | 3 0 1 |
| 2.630 | 61 | 0 0 2 |
| 2.589 | 83 | 1 3 1 |
| 2.326 | 34 | 2 3 1 |
| 1.970 | 14 | 1 3 2 |
| 1.847 | 18 | 2 3 2 |
| 1.523 | 19 | 3 0 3 |
| 1.510 | 11 | 1 3 3 |
| 1.485 | 16 | 2 6 0 |

Crystal structure
Cell: 9.207 9.419 5.260 Å, 90.00 90.00 90.00°
Space group Pnnm (No. 58)
Asymmetric unit:
Ce 0.014 0.143 0.000 [4 per cell]
Ce 0.145 0.398 0.500 [4 per cell]
Ce 0.212 0.107 0.500 [4 per cell]
In 0.162 0.769 0.500 [4 per cell]
Ir 0.000 0.500 0.000 [2 per cell]



# 2
Theoretical powder diffractogram
Compound: Sc3Nb3B4Ru10
Radiation: Cu Kα X-rays
Structure: a structure optimized by DFT (PBE)
Peak positions follow from Bragg's law for the DFT cell and can differ from measured ones.

Peak list (10 most intense, 2θ = 10–80°, low angle first)
| d/Å | I (rel.) | hkl |
| --- | --- | --- |
| 3.062 | 23 | 1 0 0 |
| 2.634 | 25 | 0 5 1 |
| 2.484 | 47 | 1 1 3 |
| 2.303 | 63 | 0 5 3 |
| 2.262 | 34 | 1 4 0 |
| 2.144 | 100 | 1 4 2 |
| 2.124 | 47 | 0 2 6 |
| 1.997 | 36 | 1 1 5 |
| 1.531 | 18 | 2 0 0 |
| 1.230 | 26 | 1 6 8 |

Crystal structure
Cell: 3.062 13.422 13.441 Å, 90.00 90.00 90.00°
Space group Amm2 (No. 38)
Asymmetric unit:
Sc 0.000 0.000 0.000 [2 per cell]
Sc 0.000 0.175 0.324 [4 per cell]
Nb 0.000 0.000 0.649 [2 per cell]
Nb 0.000 0.248 0.072 [4 per cell]
B 0.000 0.000 0.204 [2 per cell]
B 0.000 0.000 0.445 [2 per cell]
B 0.000 0.122 0.822 [4 per cell]
Ru 0.500 0.000 0.326 [2 per cell]
Ru 0.500 0.000 0.820 [2 per cell]
Ru 0.500 0.103 0.506 [4 per cell]
Ru 0.500 0.106 0.148 [4 per cell]
Ru 0.500 0.173 0.715 [4 per cell]
Ru 0.500 0.176 0.928 [4 per cell]



# 3
Theoretical powder diffractogram
Compound: Cu2Hg3Se4
Radiation: Cu Kα X-rays
Structure: a structure optimized by DFT (PBE)
Peak positions follow from Bragg's law for the DFT cell and can differ from measured ones.

Peak list (10 most intense, 2θ = 10–80°, low angle first)
| d/Å | I (rel.) | hkl |
| --- | --- | --- |
| 4.501 | 46 | 0 2 1 |
| 3.327 | 100 | 2 2 1 |
| 3.308 | 34 | 1 1 -2 |
| 2.964 | 40 | 0 4 0 |
| 2.748 | 30 | 2 0 2 |
| 2.691 | 32 | 3 3 0 |
| 2.598 | 66 | 1 3 -2 |
| 1.958 | 35 | 3 5 -1 |
| 1.913 | 28 | 2 2 3 |
| 1.819 | 28 | 4 2 -3 |

Crystal structure
Cell: 11.135 11.872 6.983 Å, 90.00 98.57 90.00°
Space group C2/c (No. 15)
Asymmetric unit:
Cu 0.201 0.130 0.337 [8 per cell]
Hg 0.000 0.131 0.750 [4 per cell]
Hg 0.128 0.338 0.107 [8 per cell]
Se 0.105 0.283 0.502 [8 per cell]
Se 0.189 0.059 0.004 [8 per cell]